Computed XRD peak list
Compound: Hf4HPt2
Radiation: Cu Kα
Structure: a DFT-relaxed cell (GGA-PBE, Alexandria)
Neutral-atom scattering factors, no anomalous dispersion.

The 10 most intense peaks (10° ≤ 2θ ≤ 90°), in order of rising 2θ:
hkl 2 0 0, 2θ = 13.64°, I = 13; hkl 0 0 2, 2θ = 33.50°, I = 46; hkl 3 1 0, 2θ = 34.13°, I = 11; hkl 3 1 -1, 2θ = 34.26°, I = 100; hkl 6 0 -1, 2θ = 38.27°, I = 14; hkl 3 1 1, 2θ = 41.77°, I = 64; hkl 6 0 -2, 2θ = 42.14°, I = 25; hkl 3 1 -3, 2θ = 54.90°, I = 20; hkl 0 2 0, 2θ = 55.60°, I = 15; hkl 0 2 2, 2θ = 66.49°, I = 18

Lattice parameters (Å, degrees): 14.1130 3.3058 5.8176 90.00 113.12 90.00
Space group C2/m (No. 12)
Inequivalent atoms, fractional coordinates:
Hf 0.0777 0.0000 0.2554 [4 per cell]
Hf 0.1234 0.5000 0.8043 [4 per cell]
H 0.0000 0.0000 0.5000 [2 per cell]
Pt 0.2413 0.5000 0.2957 [4 per cell]